Record 1
Structure and computed powder diffractogram of YNi4Sn4 (a crystal structure in Alexandria, relaxed with GGA-PBE; Cu Kα, 1.54184 Å).
Peak positions follow from Bragg's law for the DFT cell and can differ from measured ones.

The 6 most intense peaks (10° ≤ 2θ ≤ 90°), by angle:
14.8°, rel. 39.8
29.4°, rel. 36.1
33.6°, rel. 100.0
36.6°, rel. 54.1
42.5°, rel. 26.1
48.0°, rel. 47.0

a b c (Å): 8.438 8.438 5.127
angles (deg): 90.00 90.00 90.00
Fractional coordinates of all 18 atoms:
Y 0.250 0.250 0.250
Y 0.750 0.750 0.750
Ni 0.055 0.601 0.652
Ni 0.101 0.945 0.152
Ni 0.399 0.555 0.152
Ni 0.445 0.899 0.652
Ni 0.555 0.101 0.348
Ni 0.601 0.445 0.848
Ni 0.899 0.055 0.848
Ni 0.945 0.399 0.348
Sn 0.097 0.635 0.154
Sn 0.135 0.903 0.654
Sn 0.365 0.597 0.654
Sn 0.403 0.865 0.154
Sn 0.597 0.135 0.846
Sn 0.635 0.403 0.346
Sn 0.865 0.097 0.346
Sn 0.903 0.365 0.846

Record 2
Structure and computed powder diffractogram of Y3Ni6Sn2 (a crystal structure in Alexandria, relaxed with GGA-PBE; Cu Kα, 1.54184 Å).
Peak positions follow from Bragg's law for the DFT cell and can differ from measured ones.

The 6 most intense peaks (10° ≤ 2θ ≤ 90°), by angle:
33.9°, rel. 55.6
36.7°, rel. 26.4
39.4°, rel. 26.9
41.9°, rel. 100.0
44.2°, rel. 36.8
67.9°, rel. 28.6

a b c (Å): 7.928 7.928 7.928
angles (deg): 109.47 109.47 109.47
Fractional coordinates of all 22 atoms:
Y 0.000 0.289 0.289
Y 0.000 0.711 0.711
Y 0.289 0.000 0.289
Y 0.289 0.289 0.000
Y 0.711 0.000 0.711
Y 0.711 0.711 0.000
Ni 0.000 0.344 0.656
Ni 0.000 0.656 0.344
Ni 0.312 0.656 0.656
Ni 0.344 0.000 0.656
Ni 0.344 0.344 0.688
Ni 0.344 0.656 0.000
Ni 0.344 0.688 0.344
Ni 0.656 0.000 0.344
Ni 0.656 0.312 0.656
Ni 0.656 0.344 0.000
Ni 0.656 0.656 0.312
Ni 0.688 0.344 0.344
Sn 0.000 0.000 0.500
Sn 0.000 0.500 0.000
Sn 0.500 0.000 0.000
Sn 0.500 0.500 0.500

Record 3
Structure and computed powder diffractogram of YNi4Sn12 (a crystal structure in Alexandria, relaxed with GGA-PBE; Cu Kα, 1.54184 Å).
Peak positions follow from Bragg's law for the DFT cell and can differ from measured ones.

The 6 most intense peaks (10° ≤ 2θ ≤ 90°), by angle:
30.6°, rel. 100.0
36.4°, rel. 47.0
48.3°, rel. 22.3
50.4°, rel. 20.3
58.2°, rel. 19.8
68.9°, rel. 20.7

a b c (Å): 8.001 8.001 8.001
angles (deg): 109.47 109.47 109.47
Fractional coordinates of all 17 atoms:
Y 0.000 0.000 0.000
Ni 0.000 0.000 0.500
Ni 0.000 0.500 0.000
Ni 0.500 0.000 0.000
Ni 0.500 0.500 0.500
Sn 0.166 0.335 0.501
Sn 0.166 0.665 0.832
Sn 0.168 0.834 0.335
Sn 0.335 0.168 0.834
Sn 0.335 0.501 0.166
Sn 0.499 0.834 0.665
Sn 0.501 0.166 0.335
Sn 0.665 0.499 0.834
Sn 0.665 0.832 0.166
Sn 0.832 0.166 0.665
Sn 0.834 0.335 0.168
Sn 0.834 0.665 0.499

Record 4
Structure and computed powder diffractogram of Yb7Ni4Sn13 (a crystal structure in Alexandria, relaxed with GGA-PBE; Cu Kα, 1.54184 Å).
Peak positions follow from Bragg's law for the DFT cell and can differ from measured ones.

The 6 most intense peaks (10° ≤ 2θ ≤ 90°), by angle:
30.9°, rel. 13.4
31.9°, rel. 100.0
34.8°, rel. 20.9
35.7°, rel. 27.8
39.5°, rel. 25.5
54.3°, rel. 17.0

a b c (Å): 11.257 11.257 4.564
angles (deg): 90.00 90.00 90.00
Fractional coordinates of all 24 atoms:
Yb 0.000 0.000 0.000
Yb 0.000 0.500 0.500
Yb 0.327 0.660 0.500
Yb 0.340 0.327 0.500
Yb 0.500 0.000 0.500
Yb 0.660 0.673 0.500
Yb 0.673 0.340 0.500
Ni 0.122 0.274 0.000
Ni 0.274 0.878 0.000
Ni 0.726 0.122 0.000
Ni 0.878 0.726 0.000
Sn 0.078 0.189 0.500
Sn 0.109 0.714 0.000
Sn 0.189 0.922 0.500
Sn 0.216 0.479 0.000
Sn 0.286 0.109 0.000
Sn 0.479 0.784 0.000
Sn 0.500 0.500 0.000
Sn 0.521 0.216 0.000
Sn 0.714 0.891 0.000
Sn 0.784 0.521 0.000
Sn 0.811 0.078 0.500
Sn 0.891 0.286 0.000
Sn 0.922 0.811 0.500